Starting from the PBE geometry in Alexandria, the PXRD pattern of Tb4Nd3Tl was computed for copper Kα.
No peak broadening, texture or thermal motion is included.

Main lines, low angle first (2θ = 15–90°):
d_spacing, I (rel.), (hkl)
2.960, 64, 1 1 0
2.741, 100, 1 0 4
2.093, 25, 2 0 0
1.664, 45, 2 1 4
1.546, 16, 1 1 8
1.106, 12, 3 2 4

Crystal structure
```
8
Lattice="4.187 0.000 0.000 0.000 4.187 0.000 0.000 0.000 14.507" Properties=species:S:1:pos:R:3 pbc="T T T"
Tb 0.000 0.000 1.606
Tb 0.000 0.000 5.337
Tb 0.000 0.000 9.170
Tb 0.000 0.000 12.901
Nd 2.093 2.093 3.595
Nd 2.093 2.093 7.254
Nd 2.093 2.093 10.912
Tl 2.093 2.093 0.000
```